Computed powder XRD pattern of ScAgSe2 for Cu Kα (weighted mean of Kα1 and Kα2), from a GGA-PBE-relaxed structure.

Main lines, sorted by position (10° ≤ 2θ ≤ 90°):
- 3.404 Å, 26.18 deg, I 100
- 3.303 Å, 26.99 deg, I 97
- 2.630 Å, 34.09 deg, I 21
- 2.243 Å, 40.20 deg, I 49
- 1.986 Å, 45.68 deg, I 57
- 1.950 Å, 46.57 deg, I 51
- 1.715 Å, 53.41 deg, I 14
- 1.585 Å, 58.21 deg, I 26
- 1.391 Å, 67.29 deg, I 16
- 1.140 Å, 85.14 deg, I 17

Structural model:
Lattice parameters (Å, degrees): 3.972 3.972 23.671 90.00 90.00 120.00
Fractional coordinates of all 12 atoms:
Sc  0.000  0.329  0.333
Sc  0.329  0.000  0.667
Sc  0.671  0.671  0.000
Ag  0.000  0.336  0.833
Ag  0.336  0.000  0.167
Ag  0.664  0.664  0.500
Se  0.004  0.338  0.938
Se  0.333  0.996  0.272
Se  0.338  0.004  0.062
Se  0.662  0.667  0.605
Se  0.667  0.662  0.395
Se  0.996  0.333  0.728